# SrAgN
Computed X-ray powder pattern, CuKα. Input: a structure optimized by DFT (PBE).
Kinematic intensities with the Lorentz-polarization factor, no thermal factor.

a = 3.8123 Å, b = 3.8123 Å, c = 4.2122 Å
α = 90.00°, β = 90.00°, γ = 90.00°
Positions (direct):
Sr 0.0000 0.0000 0.0000
Ag 0.5000 0.5000 0.5000
N 0.5000 0.5000 0.0000

Peak list (10 most intense, 10° ≤ 2θ ≤ 90°, by angle)
Position (°2θ)	d_spacing	I_rel
31.66	2.827	100
33.24	2.696	58
42.94	2.106	14
47.71	1.906	20
55.36	1.660	25
58.39	1.580	34
66.12	1.413	14
71.62	1.318	9
78.64	1.217	7
79.51	1.206	8

=====

# U2Ni5Ge3
Computed X-ray powder pattern, CuKα. Input: a structure optimized by DFT (PBE).
Kinematic intensities with the Lorentz-polarization factor, no thermal factor.

a = 11.6646 Å, b = 11.6646 Å, c = 6.4533 Å
α = 90.00°, β = 90.00°, γ = 159.76°
Positions (direct):
U 0.0095 0.9905 0.5000
U 0.3292 0.6708 0.4439
U 0.6708 0.3292 0.9439
U 0.9905 0.0095 0.0000
Ni 0.1061 0.8939 0.7328
Ni 0.2049 0.7951 0.5993
Ni 0.2212 0.7788 0.2013
Ni 0.3761 0.6239 0.9877
Ni 0.4470 0.5530 0.6796
Ni 0.5530 0.4470 0.1796
Ni 0.6239 0.3761 0.4877
Ni 0.7788 0.2212 0.7013
Ni 0.7951 0.2049 0.0993
Ni 0.8939 0.1061 0.2328
Ge 0.1174 0.8826 0.2542
Ge 0.2728 0.7272 0.8951
Ge 0.4461 0.5539 0.2857
Ge 0.5539 0.4461 0.7857
Ge 0.7272 0.2728 0.3951
Ge 0.8826 0.1174 0.7542

Peak list (10 most intense, 10° ≤ 2θ ≤ 90°, by angle)
Position (°2θ)	d_spacing	I_rel
24.64	3.614	29
36.42	2.467	35
37.36	2.407	100
37.79	2.381	43
40.65	2.220	19
41.71	2.165	63
44.19	2.049	38
58.55	1.576	18
62.42	1.488	16
73.09	1.295	18

=====

# Tb3DyGa
Computed X-ray powder pattern, CuKα. Input: a structure optimized by DFT (PBE).
Kinematic intensities with the Lorentz-polarization factor, no thermal factor.

a = 7.4247 Å, b = 7.4247 Å, c = 7.7023 Å
α = 120.98°, β = 120.98°, γ = 74.04°
Positions (direct):
Tb 0.0552 0.0552 0.3313
Tb 0.0874 0.4704 0.2443
Tb 0.4704 0.0874 0.2443
Tb 0.5296 0.9126 0.7557
Tb 0.9126 0.5296 0.7557
Tb 0.9448 0.9448 0.6687
Dy 0.4344 0.4344 0.7313
Dy 0.5656 0.5656 0.2687
Ga 0.2545 0.2545 0.8837
Ga 0.7455 0.7455 0.1163

Peak list (10 most intense, 10° ≤ 2θ ≤ 90°, by angle)
Position (°2θ)	d_spacing	I_rel
28.04	3.182	54
30.36	2.944	47
30.62	2.920	100
31.89	2.806	41
32.20	2.780	43
36.42	2.467	40
37.73	2.384	29
37.91	2.373	19
49.12	1.855	18
51.05	1.789	21

=====

# BeZnCuRh
Computed X-ray powder pattern, CuKα. Input: a structure optimized by DFT (PBE).
Kinematic intensities with the Lorentz-polarization factor, no thermal factor.

a = 3.2745 Å, b = 3.7101 Å, c = 3.9663 Å
α = 90.00°, β = 90.00°, γ = 90.00°
Positions (direct):
Be 0.0000 0.0000 0.0000
Zn 0.0000 0.5000 0.5000
Cu 0.5000 0.0000 0.5000
Rh 0.5000 0.5000 0.0000

Peak list (10 most intense, 10° ≤ 2θ ≤ 90°, by angle)
Position (°2θ)	d_spacing	I_rel
23.99	3.710	20
27.23	3.275	13
33.06	2.709	16
35.55	2.525	14
43.35	2.088	100
45.75	1.983	21
49.11	1.855	17
69.37	1.355	12
82.95	1.164	14
87.91	1.111	12